(1)
The following is a computed X-ray powder pattern of Tb2CeSmHo. It was derived from a crystal structure in Alexandria, relaxed with PBE, using CuKα.
Neutral-atom scattering factors, no anomalous dispersion.

Crystal structure
a b c (Å): 5.909 7.985 6.928
angles (deg): 90.00 90.00 90.00
Positions (direct):
Tb (0.250, 0.203, 0.187)
Tb (0.250, 0.797, 0.187)
Tb (0.750, 0.203, 0.813)
Tb (0.750, 0.797, 0.813)
Ce (0.000, 0.500, 0.500)
Ce (0.500, 0.500, 0.500)
Sm (0.250, 0.000, 0.664)
Sm (0.750, 0.000, 0.336)
Ho (0.250, 0.500, 0.904)
Ho (0.750, 0.500, 0.096)

Principal peaks in the range 2θ = 5–70°, in order of rising 2θ:
- 2θ = 28.08°, I 275
- 2θ = 29.93°, I 1000
- 2θ = 30.25°, I 246
- 2θ = 31.98°, I 436
- 2θ = 34.87°, I 283
- 2θ = 47.83°, I 230

=====

(2)
The following is a computed X-ray powder pattern of Ce2Sm3Ho6Th. It was derived from a crystal structure in Alexandria, relaxed with PBE, using CuKα.
Neutral-atom scattering factors, no anomalous dispersion.

Crystal structure
a b c (Å): 6.149 6.149 11.683
angles (deg): 95.04 95.04 120.00
Positions (direct):
Ce (0.167, 0.833, 0.000)
Ce (0.833, 0.167, 0.000)
Sm (0.000, 0.000, 0.500)
Sm (0.333, 0.667, 0.500)
Sm (0.667, 0.333, 0.500)
Ho (0.086, 0.418, 0.755)
Ho (0.250, 0.250, 0.245)
Ho (0.418, 0.086, 0.755)
Ho (0.582, 0.914, 0.245)
Ho (0.750, 0.750, 0.755)
Ho (0.914, 0.582, 0.245)
Th (0.500, 0.500, 0.000)

Principal peaks in the range 2θ = 5–70°, in order of rising 2θ:
- 2θ = 30.88°, I 1000
- 2θ = 31.10°, I 324
- 2θ = 35.87°, I 669
- 2θ = 51.49°, I 241
- 2θ = 51.78°, I 234
- 2θ = 61.38°, I 282

=====

(3)
The following is a computed X-ray powder pattern of Ce4HoSn5. It was derived from a crystal structure in Alexandria, relaxed with PBE, using CuKα.
Neutral-atom scattering factors, no anomalous dispersion.

Crystal structure
a b c (Å): 4.117 4.117 16.177
angles (deg): 90.00 90.00 90.00
Positions (direct):
Ce (0.000, 0.000, 0.099)
Ce (0.000, 0.000, 0.298)
Ce (0.000, 0.000, 0.702)
Ce (0.000, 0.000, 0.901)
Ho (0.000, 0.000, 0.500)
Sn (0.500, 0.500, 0.000)
Sn (0.500, 0.500, 0.199)
Sn (0.500, 0.500, 0.402)
Sn (0.500, 0.500, 0.598)
Sn (0.500, 0.500, 0.801)

Principal peaks in the range 2θ = 5–70°, in order of rising 2θ:
- 2θ = 30.71°, I 723
- 2θ = 35.28°, I 1000
- 2θ = 43.98°, I 272
- 2θ = 57.60°, I 494
- 2θ = 63.95°, I 91
- 2θ = 66.07°, I 164

=====

(4)
The following is a computed X-ray powder pattern of CeHoSn2. It was derived from a crystal structure in Alexandria, relaxed with PBE, using CuKα.
Neutral-atom scattering factors, no anomalous dispersion.

Crystal structure
a b c (Å): 4.361 6.210 6.210
angles (deg): 43.15 90.00 90.00
Positions (direct):
Ce (0.000, 0.000, 0.000)
Ho (0.500, 0.268, 0.268)
Sn (0.000, 0.727, 0.727)
Sn (0.500, 0.542, 0.542)

Principal peaks in the range 2θ = 5–70°, in order of rising 2θ:
- 2θ = 29.35°, I 1000
- 2θ = 30.97°, I 360
- 2θ = 36.84°, I 736
- 2θ = 39.46°, I 263
- 2θ = 41.41°, I 230
- 2θ = 50.98°, I 181

=====

(5)
The following is a computed X-ray powder pattern of CeHoSnTe. It was derived from a crystal structure in Alexandria, relaxed with PBE, using CuKα.
Neutral-atom scattering factors, no anomalous dispersion.

Crystal structure
a b c (Å): 7.691 7.691 7.691
angles (deg): 33.59 33.59 33.59
Positions (direct):
Ce (0.000, 0.000, 0.000)
Ho (0.507, 0.507, 0.507)
Sn (0.251, 0.251, 0.251)
Te (0.756, 0.756, 0.756)

Principal peaks in the range 2θ = 5–70°, in order of rising 2θ:
- 2θ = 24.54°, I 20
- 2θ = 28.41°, I 1000
- 2θ = 40.61°, I 764
- 2θ = 50.31°, I 274
- 2θ = 58.79°, I 128
- 2θ = 66.56°, I 351

=====

(6)
The following is a computed X-ray powder pattern of CeHoTmSn. It was derived from a crystal structure in Alexandria, relaxed with PBE, using CuKα.
Neutral-atom scattering factors, no anomalous dispersion.

Crystal structure
a b c (Å): 5.341 5.341 5.341
angles (deg): 60.00 60.00 60.00
Positions (direct):
Ce (0.000, 0.000, 0.000)
Ho (0.250, 0.250, 0.250)
Tm (0.750, 0.750, 0.750)
Sn (0.500, 0.500, 0.500)

Principal peaks in the range 2θ = 5–70°, in order of rising 2θ:
- 2θ = 23.56°, I 17
- 2θ = 33.56°, I 1000
- 2θ = 41.41°, I 5
- 2θ = 48.19°, I 183
- 2θ = 54.32°, I 7
- 2θ = 60.00°, I 381

=====

What did the second record say?
The following is a computed X-ray powder pattern of Ce2Sm3Ho6Th. It was derived from a crystal structure in Alexandria, relaxed with PBE, using CuKα.
Neutral-atom scattering factors, no anomalous dispersion.

Crystal structure
a b c (Å): 6.149 6.149 11.683
angles (deg): 95.04 95.04 120.00
Positions (direct):
Ce (0.167, 0.833, 0.000)
Ce (0.833, 0.167, 0.000)
Sm (0.000, 0.000, 0.500)
Sm (0.333, 0.667, 0.500)
Sm (0.667, 0.333, 0.500)
Ho (0.086, 0.418, 0.755)
Ho (0.250, 0.250, 0.245)
Ho (0.418, 0.086, 0.755)
Ho (0.582, 0.914, 0.245)
Ho (0.750, 0.750, 0.755)
Ho (0.914, 0.582, 0.245)
Th (0.500, 0.500, 0.000)

Principal peaks in the range 2θ = 5–70°, in order of rising 2θ:
- 2θ = 30.88°, I 1000
- 2θ = 31.10°, I 324
- 2θ = 35.87°, I 669
- 2θ = 51.49°, I 241
- 2θ = 51.78°, I 234
- 2θ = 61.38°, I 282